# 1
Theoretical X-ray diffraction stick pattern of HgSNClO3 for Cu Kα (weighted mean of Kα1 and Kα2), from a GGA-PBE-relaxed structure.

```
HgSNClO3
1.0
15.9410 0.0000 0.0000
0.0000 5.6646 0.0000
0.0000 0.0000 7.8945
Hg S N Cl O
4 4 4 4 12
direct
0.0167 0.2500 0.1843 Hg
0.4833 0.7500 0.6843 Hg
0.5167 0.2500 0.3157 Hg
0.9833 0.7500 0.8157 Hg
0.1271 0.2500 0.5747 S
0.3729 0.7500 0.0747 S
0.6271 0.2500 0.9253 S
0.8729 0.7500 0.4253 S
0.1086 0.2500 0.3716 N
0.3914 0.7500 0.8716 N
0.6086 0.2500 0.1284 N
0.8914 0.7500 0.6284 N
0.0773 0.7500 0.0416 Cl
0.4227 0.2500 0.5416 Cl
0.5773 0.7500 0.4584 Cl
0.9227 0.2500 0.9584 Cl
0.0857 0.0320 0.6304 O
0.0857 0.4680 0.6304 O
0.2176 0.2500 0.5890 O
0.2824 0.7500 0.0890 O
0.4143 0.5320 0.1304 O
0.4143 0.9680 0.1304 O
0.5857 0.0320 0.8696 O
0.5857 0.4680 0.8696 O
0.7176 0.2500 0.9110 O
0.7824 0.7500 0.4110 O
0.9143 0.5320 0.3696 O
0.9143 0.9680 0.3696 O
```

The 10 most intense peaks (5° ≤ 2θ ≤ 70°), by angle:
Position (°2θ)	I_rel
11.10	1000
19.27	353
20.12	234
22.31	635
28.12	258
29.65	262
31.59	135
33.58	112
39.15	118
40.77	103

# 2
Theoretical X-ray diffraction stick pattern of TaMn2Tl2S6 for Cu Kα (weighted mean of Kα1 and Kα2), from a GGA-PBE-relaxed structure.

```
TaMn2Tl2S6
1.0
2.9073 -5.0312 0.0000
2.9073 5.0312 0.0000
-1.9314 0.0000 8.1751
Ta Mn Tl S
1 2 2 6
direct
0.0000 0.0000 0.0000 Ta
0.3323 0.6677 0.0000 Mn
0.6677 0.3323 0.0000 Mn
0.1659 0.8341 0.5000 Tl
0.8341 0.1659 0.5000 Tl
0.0563 0.4059 0.1720 S
0.2924 0.2924 0.8291 S
0.4059 0.0563 0.1720 S
0.5941 0.9437 0.8280 S
0.7076 0.7076 0.1709 S
0.9437 0.5941 0.8280 S
```

The 10 most intense peaks (5° ≤ 2θ ≤ 70°), by angle:
Position (°2θ)	I_rel
17.98	430
20.73	308
21.74	474
25.36	209
31.64	428
34.14	1000
35.89	170
42.88	406
48.58	256
54.71	274

# 3
Theoretical X-ray diffraction stick pattern of Ce2Se3 for Cu Kα (weighted mean of Kα1 and Kα2), from a GGA-PBE-relaxed structure.

```
Ce2Se3
1.0
-4.4432 4.4432 13.3398
4.4432 -4.4432 13.3398
4.4432 4.4432 -13.3398
Ce Se
16 24
direct
0.0457 0.4236 0.8897 Ce
0.1663 0.1663 0.0000 Ce
0.1736 0.2957 0.3897 Ce
0.2161 0.8264 0.1221 Ce
0.2549 0.1250 0.6299 Ce
0.3750 0.7451 0.8701 Ce
0.4951 0.6250 0.3701 Ce
0.5339 0.1560 0.1103 Ce
0.5764 0.4661 0.6221 Ce
0.5837 0.0837 0.5000 Ce
0.7043 0.0940 0.8779 Ce
0.8337 0.8337 0.0000 Ce
0.8440 0.9543 0.3779 Ce
0.8750 0.5049 0.1299 Ce
0.9060 0.7839 0.6103 Ce
0.9163 0.4163 0.5000 Ce
0.0069 0.1068 0.2478 Se
0.0723 0.8259 0.6048 Se
0.1741 0.7789 0.2464 Se
0.1869 0.0939 0.7490 Se
0.1880 0.5949 0.7510 Se
0.2175 0.4711 0.8952 Se
0.2211 0.4675 0.3952 Se
0.2409 0.9931 0.0999 Se
0.3449 0.4380 0.2510 Se
0.4051 0.1561 0.5930 Se
0.5091 0.1090 0.2522 Se
0.5289 0.4241 0.7464 Se
0.5325 0.9277 0.7536 Se
0.5620 0.8131 0.9070 Se
0.5631 0.8120 0.4070 Se
0.5759 0.3223 0.1048 Se
0.6777 0.7825 0.2536 Se
0.7431 0.4909 0.5999 Se
0.8439 0.4369 0.2490 Se
0.8568 0.2569 0.7478 Se
0.8590 0.7591 0.7522 Se
0.8910 0.1432 0.4001 Se
0.8932 0.1410 0.9001 Se
0.9061 0.6551 0.0930 Se
```

The 10 most intense peaks (5° ≤ 2θ ≤ 70°), by angle:
Position (°2θ)	I_rel
24.53	196
31.84	1000
37.87	682
45.64	209
48.01	142
50.29	120
52.49	174
64.64	285
66.53	99
68.40	138

# 4
Theoretical X-ray diffraction stick pattern of SiAs2 for Cu Kα (weighted mean of Kα1 and Kα2), from a GGA-PBE-relaxed structure.

```
SiAs2
1.0
10.5333 0.0000 0.0000
0.0000 15.8672 0.0000
0.0000 0.0000 3.6871
Si As
8 16
direct
0.0842 0.1584 0.0000 Si
0.1996 0.7676 0.5000 Si
0.3004 0.2676 0.5000 Si
0.4158 0.6584 0.0000 Si
0.5842 0.3416 0.0000 Si
0.6996 0.7324 0.5000 Si
0.8004 0.2324 0.5000 Si
0.9158 0.8416 0.0000 Si
0.0486 0.8819 0.5000 As
0.1143 0.6237 0.5000 As
0.1615 0.3000 0.0000 As
0.2431 0.5591 0.0000 As
0.2569 0.0591 0.0000 As
0.3385 0.8000 0.0000 As
0.3857 0.1237 0.5000 As
0.4514 0.3819 0.5000 As
0.5486 0.6181 0.5000 As
0.6143 0.8763 0.5000 As
0.6615 0.2000 0.0000 As
0.7431 0.9409 0.0000 As
0.7569 0.4409 0.0000 As
0.8385 0.7000 0.0000 As
0.8857 0.3763 0.5000 As
0.9514 0.1181 0.5000 As
```

The 10 most intense peaks (5° ≤ 2θ ≤ 70°), by angle:
Position (°2θ)	I_rel
13.97	225
23.84	360
23.97	497
28.16	253
29.57	330
30.12	1000
34.27	313
49.44	239
51.26	300
52.38	295

# 5
Theoretical X-ray diffraction stick pattern of Tm11Ga9Rh4 for Cu Kα (weighted mean of Kα1 and Kα2), from a GGA-PBE-relaxed structure.

```
Tm11Ga9Rh4
1.0
6.8813 -10.3193 0.0000
6.8813 10.3193 0.0000
0.0000 0.0000 3.5701
Tm Ga Rh
11 9 4
direct
0.0000 0.0000 0.0000 Tm
0.0695 0.4120 0.0000 Tm
0.1667 0.8333 0.0000 Tm
0.3066 0.3066 0.0000 Tm
0.3725 0.6275 0.0000 Tm
0.4120 0.0695 0.0000 Tm
0.5880 0.9305 0.0000 Tm
0.6275 0.3725 0.0000 Tm
0.6934 0.6934 0.0000 Tm
0.8333 0.1667 0.0000 Tm
0.9305 0.5880 0.0000 Tm
0.0738 0.2155 0.5000 Ga
0.1618 0.6303 0.5000 Ga
0.2155 0.0738 0.5000 Ga
0.3697 0.8382 0.5000 Ga
0.5000 0.5000 0.5000 Ga
0.6303 0.1618 0.5000 Ga
0.7845 0.9262 0.5000 Ga
0.8382 0.3697 0.5000 Ga
0.9262 0.7845 0.5000 Ga
0.2438 0.4467 0.5000 Rh
0.4467 0.2438 0.5000 Rh
0.5533 0.7562 0.5000 Rh
0.7562 0.5533 0.5000 Rh
```

The 10 most intense peaks (5° ≤ 2θ ≤ 70°), by angle:
Position (°2θ)	I_rel
25.90	135
33.18	90
34.40	138
36.26	1000
36.95	351
38.68	223
39.85	88
51.17	152
53.25	76
64.78	135

# 6
Theoretical X-ray diffraction stick pattern of DyMgPa2N5 for Cu Kα (weighted mean of Kα1 and Kα2), from a GGA-PBE-relaxed structure.

```
DyMgPa2N5
1.0
1.7591 -6.8169 0.0000
1.7591 6.8169 0.0000
0.0000 0.0000 11.1076
Dy Mg Pa N
2 2 4 10
direct
0.2196 0.7804 0.5000 Dy
0.7804 0.2196 0.0000 Dy
0.4954 0.5046 0.0021 Mg
0.5046 0.4954 0.5021 Mg
0.1238 0.8762 0.7563 Pa
0.1331 0.8669 0.2148 Pa
0.8669 0.1331 0.7148 Pa
0.8762 0.1238 0.2563 Pa
0.0605 0.9395 0.5763 N
0.2866 0.7134 0.1623 N
0.2939 0.7061 0.8477 N
0.3694 0.6306 0.5953 N
0.4672 0.5328 0.3136 N
0.5328 0.4672 0.8136 N
0.6306 0.3694 0.0953 N
0.7061 0.2939 0.3477 N
0.7134 0.2866 0.6623 N
0.9395 0.0605 0.0763 N
```

The 10 most intense peaks (5° ≤ 2θ ≤ 70°), by angle:
Position (°2θ)	I_rel
15.96	355
26.15	419
27.40	267
30.78	1000
32.20	607
35.82	273
41.96	252
45.12	229
46.19	247
56.52	423

# 7
Theoretical X-ray diffraction stick pattern of Ba3Li2In2Bi4 for Cu Kα (weighted mean of Kα1 and Kα2), from a GGA-PBE-relaxed structure.

```
Ba3Li2In2Bi4
1.0
5.2334 0.0000 0.0000
-2.6167 4.5322 0.0000
0.0000 0.0000 16.6527
Ba Li In Bi
3 2 2 4
direct
0.0000 0.0000 0.0000 Ba
0.0000 0.0000 0.2705 Ba
0.0000 0.0000 0.7295 Ba
0.3333 0.6667 0.1345 Li
0.6667 0.3333 0.8655 Li
0.3333 0.6667 0.5698 In
0.6667 0.3333 0.4302 In
0.3333 0.6667 0.3891 Bi
0.3333 0.6667 0.8660 Bi
0.6667 0.3333 0.1340 Bi
0.6667 0.3333 0.6109 Bi
```

The 10 most intense peaks (5° ≤ 2θ ≤ 70°), by angle:
Position (°2θ)	I_rel
5.31	216
20.31	216
22.33	904
25.37	237
29.13	903
34.27	1000
38.02	388
45.58	267
51.95	228
58.24	259